# 1
This entry pairs a crystal structure of Dy3Y12Tm with its simulated PXRD pattern. Radiation: copper Kα. Structure: DFT lattice parameters and positions (GGA-PBE).
No peak broadening, texture or thermal motion is included.

Peak list (10 most intense, 5 to 70 degrees two-theta, sorted by position)
| (hkl) | two_theta | I (rel.) |
| --- | --- | --- |
| 1 0 0 | 17.61 | 7.2 |
| 1 1 0 | 25.01 | 6.5 |
| 1 1 4 | 30.75 | 100.0 |
| 2 0 0 | 35.66 | 50.2 |
| 2 1 0 | 40.04 | 4.0 |
| 2 1 4 | 44.05 | 3.1 |
| 2 2 0 | 51.31 | 35.0 |
| 3 0 0 | 54.68 | 2.1 |
| 3 1 4 | 61.02 | 41.1 |
| 2 2 8 | 64.05 | 11.8 |

Structure:
Lattice parameters (Å, degrees): 5.036 5.036 20.144 90.00 90.00 90.00
Space group P4/mmm (No. 123)
Symmetry-distinct sites (fractional):
1 Dy 0.000 0.000 0.000 x1
2 Dy 0.000 0.000 0.250 x2
3 Y 0.000 0.500 0.125 x4
4 Y 0.000 0.500 0.376 x4
5 Y 0.500 0.500 0.000 x1
6 Y 0.500 0.500 0.251 x2
7 Y 0.500 0.500 0.500 x1
8 Tm 0.000 0.000 0.500 x1

***

# 2
This entry pairs a crystal structure of Dy6Y4Tm with its simulated PXRD pattern. Radiation: copper Kα. Structure: DFT lattice parameters and positions (GGA-PBE).
No peak broadening, texture or thermal motion is included.

Peak list (10 most intense, 5 to 70 degrees two-theta, sorted by position)
| (hkl) | two_theta | I (rel.) |
| --- | --- | --- |
| 1 0 1 | 14.48 | 27.7 |
| 1 1 4 | 28.41 | 44.7 |
| 2 0 2 | 29.20 | 92.2 |
| 2 1 1 | 30.98 | 95.5 |
| 0 0 6 | 31.39 | 50.8 |
| 2 0 4 | 34.49 | 100.0 |
| 2 2 0 | 38.89 | 33.2 |
| 2 1 5 | 40.55 | 41.2 |
| 1 1 10 | 57.44 | 31.4 |
| 4 1 1 | 58.34 | 27.7 |

Structure:
Lattice parameters (Å, degrees): 6.549 6.549 17.100 90.00 90.00 90.00
Space group I-42m (No. 121)
Symmetry-distinct sites (fractional):
1 Dy 0.000 0.500 0.000 x4
2 Dy 0.185 0.185 0.171 x8
3 Y 0.180 0.180 0.367 x8
4 Tm 0.000 0.000 0.000 x2

***

# 3
This entry pairs a crystal structure of Dy7YTm4 with its simulated PXRD pattern. Radiation: copper Kα. Structure: DFT lattice parameters and positions (GGA-PBE).
No peak broadening, texture or thermal motion is included.

Peak list (10 most intense, 5 to 70 degrees two-theta, sorted by position)
| (hkl) | two_theta | I (rel.) |
| --- | --- | --- |
| 0 0 2 | 5.13 | 1.8 |
| 0 0 3 | 7.69 | 1.3 |
| 0 0 4 | 10.26 | 0.7 |
| 1 0 4 | 31.07 | 100.0 |
| 0 1 8 | 36.03 | 50.6 |
| 1 1 0 | 51.88 | 35.9 |
| 0 2 4 | 61.69 | 31.9 |
| 0 1 20 | 61.79 | 10.6 |
| 2 0 8 | 64.74 | 9.2 |
| 0 0 24 | 64.91 | 3.0 |

Structure:
Lattice parameters (Å, degrees): 3.5278 3.5278 34.4797 90.00 90.00 120.00
Space group P-3m1 (No. 164)
Symmetry-distinct sites (fractional):
1 Dy 0.0000 0.0000 0.0000 x1
2 Dy 0.0000 0.0000 0.2499 x2
3 Dy 0.3333 0.6667 0.1659 x2
4 Dy 0.3333 0.6667 0.4155 x2
5 Y 0.0000 0.0000 0.5000 x1
6 Tm 0.3333 0.6667 0.6673 x2
7 Tm 0.3333 0.6667 0.9170 x2

***

# 4
This entry pairs a crystal structure of Dy2Y4Tm7 with its simulated PXRD pattern. Radiation: copper Kα. Structure: DFT lattice parameters and positions (GGA-PBE).
No peak broadening, texture or thermal motion is included.

Peak list (10 most intense, 5 to 70 degrees two-theta, sorted by position)
| (hkl) | two_theta | I (rel.) |
| --- | --- | --- |
| 1 0 0 | 14.68 | 1.6 |
| 1 1 1 | 17.92 | 1.1 |
| 2 1 0 | 31.10 | 100.0 |
| 1 3 2 | 36.07 | 50.5 |
| 2 3 -1 | 51.88 | 11.9 |
| 3 2 3 | 51.95 | 23.7 |
| 3 4 2 | 61.76 | 31.7 |
| 4 0 1 | 61.82 | 10.5 |
| 2 2 6 | 64.80 | 6.1 |
| 4 2 0 | 64.89 | 6.1 |

Structure:
Lattice parameters (Å, degrees): 6.096 7.877 9.318 65.09 83.71 82.54
Space group P-1 (No. 2)
Symmetry-distinct sites (fractional):
1 Dy 0.153 0.194 0.384 x2
2 Y 0.308 0.887 0.768 x2
3 Y 0.462 0.578 0.154 x2
4 Tm 0.000 0.500 0.000 x1
5 Tm 0.077 0.347 0.691 x2
6 Tm 0.229 0.039 0.077 x2
7 Tm 0.383 0.730 0.461 x2

***

# 5
This entry pairs a crystal structure of Dy12YTm5 with its simulated PXRD pattern. Radiation: copper Kα. Structure: DFT lattice parameters and positions (GGA-PBE).
No peak broadening, texture or thermal motion is included.

Peak list (10 most intense, 5 to 70 degrees two-theta, sorted by position)
| (hkl) | two_theta | I (rel.) |
| --- | --- | --- |
| 1 3 -2 | 30.54 | 100.0 |
| 4 0 -2 | 31.19 | 83.5 |
| 2 0 2 | 31.42 | 95.6 |
| 2 0 -4 | 32.72 | 78.9 |
| 3 3 -1 | 35.12 | 41.9 |
| 1 3 -3 | 36.05 | 30.7 |
| 3 3 0 | 37.34 | 54.5 |
| 1 3 4 | 50.62 | 28.7 |
| 4 6 -2 | 62.68 | 41.0 |
| 2 6 -4 | 63.59 | 33.4 |

Structure:
Lattice parameters (Å, degrees): 11.484 10.391 10.949 90.00 118.93 90.00
Space group C2/m (No. 12)
Symmetry-distinct sites (fractional):
1 Dy 0.162 0.167 0.347 x8
2 Dy 0.163 0.500 0.350 x4
3 Dy 0.191 0.167 0.831 x8
4 Dy 0.193 0.500 0.829 x4
5 Y 0.000 0.500 0.000 x2
6 Tm 0.000 0.000 0.500 x2
7 Tm 0.000 0.165 0.000 x4
8 Tm 0.000 0.333 0.500 x4

***

# 6
This entry pairs a crystal structure of Dy4Y11Tm9 with its simulated PXRD pattern. Radiation: copper Kα. Structure: DFT lattice parameters and positions (GGA-PBE).
No peak broadening, texture or thermal motion is included.

Peak list (10 most intense, 5 to 70 degrees two-theta, sorted by position)
| (hkl) | two_theta | I (rel.) |
| --- | --- | --- |
| 0 0 1 | 24.36 | 10.8 |
| 4 6 0 | 30.39 | 62.0 |
| 3 3 1 | 31.25 | 14.7 |
| 4 0 1 | 32.64 | 100.0 |
| 6 2 0 | 33.20 | 11.5 |
| 4 6 1 | 39.34 | 7.7 |
| 1 9 1 | 41.17 | 7.3 |
| 6 2 1 | 41.61 | 7.4 |
| 0 0 2 | 49.92 | 11.9 |
| 4 6 2 | 59.59 | 15.4 |

Structure:
Lattice parameters (Å, degrees): 16.580 25.012 3.654 90.00 90.00 90.00
Space group Cmmm (No. 65)
Symmetry-distinct sites (fractional):
1 Dy 0.155 0.101 0.000 x8
2 Y 0.000 0.133 0.500 x4
3 Y 0.000 0.341 0.500 x4
4 Y 0.000 0.500 0.500 x2
5 Y 0.208 0.000 0.500 x4
6 Y 0.225 0.319 0.500 x8
7 Tm 0.000 0.000 0.000 x2
8 Tm 0.102 0.234 0.000 x8
9 Tm 0.142 0.428 0.000 x8

***

# 7
This entry pairs a crystal structure of Dy7Y3Tm2 with its simulated PXRD pattern. Radiation: copper Kα. Structure: DFT lattice parameters and positions (GGA-PBE).
No peak broadening, texture or thermal motion is included.

Peak list (10 most intense, 5 to 70 degrees two-theta, sorted by position)
| (hkl) | two_theta | I (rel.) |
| --- | --- | --- |
| 0 0 6 | 28.90 | 33.3 |
| 1 1 -2 | 30.74 | 30.9 |
| 2 0 -1 | 31.13 | 65.9 |
| 1 1 2 | 31.36 | 100.0 |
| 0 1 4 | 31.67 | 25.7 |
| 1 0 -6 | 32.01 | 56.1 |
| 1 0 6 | 33.79 | 39.9 |
| 1 1 -4 | 34.85 | 40.4 |
| 1 1 -5 | 37.74 | 25.7 |
| 0 2 0 | 51.27 | 22.6 |

Structure:
Lattice parameters (Å, degrees): 5.766 3.564 18.574 90.00 93.57 90.00
Space group P2/m (No. 10)
Symmetry-distinct sites (fractional):
1 Dy 0.000 0.000 0.000 x1
2 Dy 0.188 0.500 0.180 x2
3 Dy 0.257 0.500 0.537 x2
4 Dy 0.314 0.000 0.855 x2
5 Y 0.223 0.000 0.367 x2
6 Y 0.500 0.500 0.000 x1
7 Tm 0.289 0.500 0.705 x2

***

# 8
This entry pairs a crystal structure of Dy2YTm9 with its simulated PXRD pattern. Radiation: copper Kα. Structure: DFT lattice parameters and positions (GGA-PBE).
No peak broadening, texture or thermal motion is included.

Peak list (8 most intense, 5 to 70 degrees two-theta, sorted by position)
| (hkl) | two_theta | I (rel.) |
| --- | --- | --- |
| 0 0 1 | 5.94 | 1.4 |
| 1 0 0 | 17.90 | 0.6 |
| 1 1 0 | 25.42 | 0.6 |
| 1 1 3 | 31.26 | 100.0 |
| 2 0 0 | 36.26 | 50.5 |
| 2 2 0 | 52.21 | 35.9 |
| 3 1 3 | 62.13 | 42.5 |
| 2 2 6 | 65.22 | 12.2 |

Structure:
Lattice parameters (Å, degrees): 4.955 4.955 14.870 90.00 90.00 90.00
Space group P4/mmm (No. 123)
Symmetry-distinct sites (fractional):
1 Dy 0.000 0.000 0.166 x2
2 Y 0.000 0.000 0.500 x1
3 Tm 0.000 0.500 0.000 x2
4 Tm 0.000 0.500 0.332 x4
5 Tm 0.500 0.500 0.166 x2
6 Tm 0.500 0.500 0.500 x1

***

# 9
This entry pairs a crystal structure of Dy3Y5Tm with its simulated PXRD pattern. Radiation: copper Kα. Structure: DFT lattice parameters and positions (GGA-PBE).
No peak broadening, texture or thermal motion is included.

Peak list (10 most intense, 5 to 70 degrees two-theta, sorted by position)
| (hkl) | two_theta | I (rel.) |
| --- | --- | --- |
| 0 2 0 | 18.24 | 9.1 |
| 4 2 -1 | 30.86 | 7.8 |
| 3 1 2 | 31.51 | 100.0 |
| 6 0 0 | 31.86 | 88.4 |
| 0 4 2 | 45.43 | 34.2 |
| 0 0 4 | 52.34 | 7.8 |
| 6 4 -2 | 56.52 | 17.8 |
| 6 4 2 | 56.59 | 16.0 |
| 9 3 0 | 56.78 | 14.3 |
| 6 0 4 | 62.61 | 20.9 |

Structure:
Lattice parameters (Å, degrees): 16.867 9.720 6.992 90.00 90.08 90.00
Space group C2/c (No. 15)
Symmetry-distinct sites (fractional):
1 Dy 0.000 0.000 0.000 x4
2 Dy 0.165 0.500 0.000 x8
3 Y 0.000 0.309 0.250 x4
4 Y 0.153 0.155 0.750 x8
5 Y 0.180 0.178 0.250 x8
6 Tm 0.000 0.357 0.750 x4

***

# 10
This entry pairs a crystal structure of DyY3Tm3 with its simulated PXRD pattern. Radiation: copper Kα. Structure: DFT lattice parameters and positions (GGA-PBE).
No peak broadening, texture or thermal motion is included.

Peak list (10 most intense, 5 to 70 degrees two-theta, sorted by position)
| (hkl) | two_theta | I (rel.) |
| --- | --- | --- |
| 1 0 0 | 10.71 | 10.9 |
| 2 1 0 | 28.58 | 24.2 |
| 0 0 2 | 31.92 | 23.7 |
| 2 1 1 | 32.83 | 100.0 |
| 2 1 2 | 43.37 | 15.6 |
| 1 4 0 | 50.63 | 19.4 |
| 2 1 3 | 57.46 | 20.1 |
| 1 4 2 | 61.11 | 21.9 |
| 4 2 1 | 61.66 | 16.0 |
| 4 2 2 | 68.82 | 4.1 |

Structure:
Lattice parameters (Å, degrees): 9.5406 9.5406 5.6072 90.00 90.00 120.00
Space group P6_3/m (No. 176)
Symmetry-distinct sites (fractional):
1 Dy 0.3333 0.6667 0.2500 x2
2 Y 0.0487 0.2405 0.2500 x6
3 Tm 0.0956 0.4785 0.7500 x6

***

# 11
This entry pairs a crystal structure of Dy2Y8Tm3 with its simulated PXRD pattern. Radiation: copper Kα. Structure: DFT lattice parameters and positions (GGA-PBE).
No peak broadening, texture or thermal motion is included.

Peak list (10 most intense, 5 to 70 degrees two-theta, sorted by position)
| (hkl) | two_theta | I (rel.) |
| --- | --- | --- |
| 1 2 0 | 11.48 | 47.8 |
| 2 1 1 | 30.00 | 71.1 |
| 1 7 0 | 31.43 | 41.2 |
| 3 5 0 | 31.68 | 72.7 |
| 1 4 1 | 31.82 | 100.0 |
| 4 3 0 | 33.38 | 31.7 |
| 3 1 1 | 34.68 | 66.3 |
| 0 6 1 | 36.64 | 36.1 |
| 0 0 2 | 52.05 | 25.4 |
| 3 5 2 | 62.24 | 27.8 |

Structure:
Lattice parameters (Å, degrees): 11.670 20.543 3.514 90.00 90.00 90.00
Space group Pbam (No. 55)
Symmetry-distinct sites (fractional):
1 Dy 0.179 0.099 0.000 x4
2 Y 0.046 0.572 0.000 x4
3 Y 0.055 0.843 0.500 x4
4 Y 0.128 0.284 0.000 x4
5 Y 0.209 0.449 0.500 x4
6 Tm 0.000 0.000 0.500 x2
7 Tm 0.147 0.700 0.500 x4

***

# 12
This entry pairs a crystal structure of Dy10Y4Tm with its simulated PXRD pattern. Radiation: copper Kα. Structure: DFT lattice parameters and positions (GGA-PBE).
No peak broadening, texture or thermal motion is included.

Peak list (10 most intense, 5 to 70 degrees two-theta, sorted by position)
| (hkl) | two_theta | I (rel.) |
| --- | --- | --- |
| 1 2 1 | 20.01 | 15.0 |
| 3 1 0 | 23.15 | 30.5 |
| 3 1 2 | 32.97 | 100.0 |
| 5 0 1 | 38.87 | 8.0 |
| 2 4 2 | 40.67 | 9.6 |
| 6 2 0 | 47.32 | 18.2 |
| 5 0 3 | 51.86 | 3.4 |
| 6 2 2 | 53.31 | 13.2 |
| 5 5 2 | 58.87 | 37.9 |
| 6 2 4 | 69.15 | 11.7 |

Structure:
Lattice parameters (Å, degrees): 12.152 12.152 7.683 90.00 90.00 90.00
Space group I4/m (No. 87)
Symmetry-distinct sites (fractional):
1 Dy 0.000 0.500 0.250 x4
2 Dy 0.099 0.199 0.248 x16
3 Y 0.101 0.701 0.500 x8
4 Tm 0.000 0.000 0.000 x2

***

Please write out number 6 again, unchanged.
This entry pairs a crystal structure of Dy4Y11Tm9 with its simulated PXRD pattern. Radiation: copper Kα. Structure: DFT lattice parameters and positions (GGA-PBE).
No peak broadening, texture or thermal motion is included.

Peak list (10 most intense, 5 to 70 degrees two-theta, sorted by position)
| (hkl) | two_theta | I (rel.) |
| --- | --- | --- |
| 0 0 1 | 24.36 | 10.8 |
| 4 6 0 | 30.39 | 62.0 |
| 3 3 1 | 31.25 | 14.7 |
| 4 0 1 | 32.64 | 100.0 |
| 6 2 0 | 33.20 | 11.5 |
| 4 6 1 | 39.34 | 7.7 |
| 1 9 1 | 41.17 | 7.3 |
| 6 2 1 | 41.61 | 7.4 |
| 0 0 2 | 49.92 | 11.9 |
| 4 6 2 | 59.59 | 15.4 |

Structure:
Lattice parameters (Å, degrees): 16.580 25.012 3.654 90.00 90.00 90.00
Space group Cmmm (No. 65)
Symmetry-distinct sites (fractional):
1 Dy 0.155 0.101 0.000 x8
2 Y 0.000 0.133 0.500 x4
3 Y 0.000 0.341 0.500 x4
4 Y 0.000 0.500 0.500 x2
5 Y 0.208 0.000 0.500 x4
6 Y 0.225 0.319 0.500 x8
7 Tm 0.000 0.000 0.000 x2
8 Tm 0.102 0.234 0.000 x8
9 Tm 0.142 0.428 0.000 x8